For LuC2, a structure optimized by DFT (GGA-PBE) gives the calculated powder XRD pattern in this record (Cu Ka).

Most intense lines, 10° ≤ 2θ ≤ 80°, sorted by position:
- hkl 0 1 1, 3.370 Å, 2θ 26.45, I = 100.0
- hkl 1 0 1, 2.870 Å, 2θ 31.16, I = 60.0
- hkl 1 1 0, 2.830 Å, 2θ 31.62, I = 89.3
- hkl 0 0 2, 2.432 Å, 2θ 36.97, I = 31.5
- hkl 0 2 0, 2.337 Å, 2θ 38.53, I = 21.5
- hkl 1 1 2, 1.844 Å, 2θ 49.42, I = 50.4
- hkl 1 2 1, 1.812 Å, 2θ 50.35, I = 43.7
- hkl 0 2 2, 1.685 Å, 2θ 54.46, I = 16.1
- hkl 2 1 1, 1.573 Å, 2θ 58.71, I = 23.5
- hkl 1 2 3, 1.247 Å, 2θ 76.35, I = 12.8

Crystal structure
```
data_LuC2
_chemical_formula_sum 'Lu2 C4'
_symmetry_space_group_name_H-M 'I m m m'
_symmetry_Int_Tables_number 71
_symmetry_space_group_name_Hall '-I 2 2'
_cell_length_a 3.5561
_cell_length_b 4.6735
_cell_length_c 4.8630
_cell_angle_alpha 90.00
_cell_angle_beta 90.00
_cell_angle_gamma 90.00
loop_
_atom_site_label
_atom_site_fract_x
_atom_site_fract_y
_atom_site_fract_z
Lu1 0.0000 0.0000 0.0000
C1 0.0000 0.1402 0.5000
```



For Rb3Ta, a structure optimized by DFT (GGA-PBE) gives the calculated powder XRD pattern in this record (Cu Ka).

Most intense lines, 10° ≤ 2θ ≤ 80°, sorted by position:
- hkl 1 0 1, 5.392 Å, 2θ 16.44, I = 12.0
- hkl 1 1 2, 3.451 Å, 2θ 25.82, I = 100.0
- hkl 2 0 0, 3.054 Å, 2θ 29.24, I = 36.4
- hkl 0 0 4, 2.869 Å, 2θ 31.18, I = 15.4
- hkl 2 2 0, 2.160 Å, 2θ 41.82, I = 13.6
- hkl 2 0 4, 2.091 Å, 2θ 43.27, I = 24.7
- hkl 3 1 2, 1.831 Å, 2θ 49.81, I = 32.7
- hkl 1 1 6, 1.749 Å, 2θ 52.31, I = 14.1
- hkl 2 2 4, 1.725 Å, 2θ 53.07, I = 13.5
- hkl 3 1 6, 1.359 Å, 2θ 69.11, I = 12.3

Crystal structure
```
data_Rb3Ta
_chemical_formula_sum 'Rb6 Ta2'
_symmetry_space_group_name_H-M 'I 4/m m m'
_symmetry_Int_Tables_number 139
_symmetry_space_group_name_Hall '-I 4 2'
_cell_length_a 6.1089
_cell_length_b 6.1089
_cell_length_c 11.4757
_cell_angle_alpha 90.00
_cell_angle_beta 90.00
_cell_angle_gamma 90.00
loop_
_atom_site_label
_atom_site_fract_x
_atom_site_fract_y
_atom_site_fract_z
Rb1 0.0000 0.0000 0.0000
Rb2 0.0000 0.5000 0.2500
Ta1 0.0000 0.0000 0.5000
```